Diffraction record for KVPdO4. The PXRD pattern is theoretical, not measured: it uses a structure optimized by DFT (GGA+U) and Cu Kα (λ = 1.5418 Å).

Structural model:
Cell lengths 6.923, 9.841, 6.956 Å; angles 90.00, 90.00, 90.00 degrees
Space group Cmcm (No. 63)
Inequivalent atoms, fractional coordinates:
K 0.000 0.000 0.000 (multiplicity 4)
V 0.000 0.386 0.250 (multiplicity 4)
Pd 0.000 0.328 0.750 (multiplicity 4)
O 0.000 0.286 0.042 (multiplicity 8)
O 0.202 0.495 0.250 (multiplicity 8)

Largest 10 diffraction maxima, in order of rising 2θ, 2θ = 10–90°:
h k l  two_theta  I_rel
1 1 0  15.7  31
1 1 1  20.2  21
0 0 2  25.6  16
2 0 0  25.7  46
1 3 0  30.2  100
0 4 1  38.8  9
2 2 2  41.1  11
3 3 0  48.2  24
0 0 4  52.7  23
1 3 4  61.9  10